1.
This entry pairs a crystal structure of Ti4HgPd4 with its simulated X-ray diffraction stick pattern. Radiation: Cu Kα (weighted mean of Kα1 and Kα2). Structure: the GGA-PBE geometry in Alexandria.
Kinematic intensities with the Lorentz-polarization factor, no thermal factor.

Most intense lines, 2θ = 10–90°, sorted by position:
14.59°, I = 30
32.38°, I = 23
38.74°, I = 100
44.79°, I = 33
45.53°, I = 16
65.20°, I = 10
65.77°, I = 20
78.49°, I = 23
79.56°, I = 12
83.10°, I = 10

Structural model:
Unit cell a=6.3895 b=6.3895 c=6.3895 alpha=95.58 beta=95.58 gamma=143.66
Atoms (fractional coordinates):
Ti: 0.0000 0.3342 0.3342
Ti: 0.0000 0.6658 0.6658
Ti: 0.3342 0.0000 0.3342
Ti: 0.6658 0.0000 0.6658
Hg: 0.0000 0.0000 0.0000
Pd: 0.3277 0.3277 0.6554
Pd: 0.3277 0.6723 0.0000
Pd: 0.6723 0.3277 0.0000
Pd: 0.6723 0.6723 0.3446

=====

2.
This entry pairs a crystal structure of Ti2HgPd with its simulated X-ray diffraction stick pattern. Radiation: Cu Kα (weighted mean of Kα1 and Kα2). Structure: the GGA-PBE geometry in Alexandria.
Kinematic intensities with the Lorentz-polarization factor, no thermal factor.

Most intense lines, 2θ = 10–90°, sorted by position:
21.88°, I = 28
30.78°, I = 25
38.09°, I = 100
44.09°, I = 33
44.62°, I = 16
49.74°, I = 14
64.53°, I = 21
77.08°, I = 25
77.84°, I = 12
81.47°, I = 11

Structural model:
Unit cell a=4.1079 b=4.1079 c=4.0616 alpha=90.00 beta=90.00 gamma=90.00
Atoms (fractional coordinates):
Ti: 0.0000 0.5000 0.0000
Ti: 0.5000 0.0000 0.0000
Hg: 0.0000 0.0000 0.5000
Pd: 0.5000 0.5000 0.5000

=====

3.
This entry pairs a crystal structure of TiHgPd3 with its simulated X-ray diffraction stick pattern. Radiation: Cu Kα (weighted mean of Kα1 and Kα2). Structure: the GGA-PBE geometry in Alexandria.
Kinematic intensities with the Lorentz-polarization factor, no thermal factor.

Most intense lines, 2θ = 10–90°, sorted by position:
23.08°, I = 41
25.69°, I = 39
34.52°, I = 35
36.94°, I = 98
38.70°, I = 94
39.87°, I = 100
40.22°, I = 82
43.53°, I = 54
45.00°, I = 32
69.21°, I = 33

Structural model:
Unit cell a=8.8775 b=4.5759 c=4.5759 alpha=110.81 beta=90.00 gamma=90.00
Atoms (fractional coordinates):
Ti: 0.0000 0.0000 0.0000
Ti: 0.5000 0.0000 0.0000
Hg: 0.2500 0.4762 0.1385
Hg: 0.7500 0.1385 0.4762
Pd: 0.0667 0.2852 0.6069
Pd: 0.2500 0.8391 0.7292
Pd: 0.4333 0.2852 0.6069
Pd: 0.5667 0.6069 0.2852
Pd: 0.7500 0.7292 0.8391
Pd: 0.9333 0.6069 0.2852

=====

4.
This entry pairs a crystal structure of Tl2HgPd4 with its simulated X-ray diffraction stick pattern. Radiation: Cu Kα (weighted mean of Kα1 and Kα2). Structure: the GGA-PBE geometry in Alexandria.
Kinematic intensities with the Lorentz-polarization factor, no thermal factor.

Most intense lines, 2θ = 10–90°, sorted by position:
25.89°, I = 27
29.81°, I = 48
31.86°, I = 51
34.71°, I = 27
35.92°, I = 47
38.24°, I = 98
39.48°, I = 100
39.75°, I = 94
40.16°, I = 24
41.11°, I = 33

Structural model:
Unit cell a=10.5665 b=4.5348 c=11.4087 alpha=90.00 beta=90.00 gamma=90.00
Atoms (fractional coordinates):
Tl: 0.0970 0.2500 0.0850
Tl: 0.0993 0.2500 0.5844
Tl: 0.4007 0.7500 0.0844
Tl: 0.4030 0.7500 0.5850
Tl: 0.5970 0.2500 0.4150
Tl: 0.5993 0.2500 0.9156
Tl: 0.9007 0.7500 0.4156
Tl: 0.9030 0.7500 0.9150
Hg: 0.2177 0.7500 0.8345
Hg: 0.2823 0.2500 0.3345
Hg: 0.7177 0.7500 0.6655
Hg: 0.7823 0.2500 0.1655
Pd: 0.0145 0.2500 0.3232
Pd: 0.0701 0.2500 0.8391
Pd: 0.1712 0.7500 0.4595
Pd: 0.1798 0.7500 0.2189
Pd: 0.3202 0.2500 0.7189
Pd: 0.3288 0.2500 0.9595
Pd: 0.4299 0.7500 0.3391
Pd: 0.4855 0.7500 0.8232
Pd: 0.5145 0.2500 0.1768
Pd: 0.5701 0.2500 0.6609
Pd: 0.6712 0.7500 0.0405
Pd: 0.6798 0.7500 0.2811
Pd: 0.8202 0.2500 0.7811
Pd: 0.8288 0.2500 0.5405
Pd: 0.9299 0.7500 0.1609
Pd: 0.9855 0.7500 0.6768